[1]
Diffraction record for DyInAg2. The powder XRD pattern is theoretical, not measured: it uses DFT lattice parameters and positions (GGA-PBE) and CuKα.
Kinematic intensities with the Lorentz-polarization factor, no thermal factor.

Peak list (8 most intense, 10° ≤ 2θ ≤ 80°, sorted by position)
- (1 1 1), 2θ 22.0, intensity 17
- (2 0 0), 2θ 25.4, intensity 13
- (2 2 0), 2θ 36.2, intensity 1000
- (3 1 1), 2θ 42.8, intensity 10
- (4 0 0), 2θ 52.2, intensity 171
- (4 2 0), 2θ 58.9, intensity 6
- (4 2 2), 2θ 65.2, intensity 343
- (4 4 0), 2θ 76.9, intensity 106

Structural model:
Lattice parameters (Å, degrees): 7.011 7.011 7.011 90.00 90.00 90.00
Space group Fm-3m (No. 225)
Symmetry-distinct sites (fractional):
Dy (0.000, 0.000, 0.000)
In (0.000, 0.000, 0.500)
Ag (0.250, 0.250, 0.250)

[2]
Diffraction record for TaH6C2SeCl5. The powder XRD pattern is theoretical, not measured: it uses DFT lattice parameters and positions (GGA-PBE) and CuKα.
Kinematic intensities with the Lorentz-polarization factor, no thermal factor.

Peak list (12 most intense, 10° ≤ 2θ ≤ 80°, sorted by position)
- (0 2 0), 2θ 14.0, intensity 180
- (1 1 1), 2θ 14.8, intensity 1000
- (0 0 2), 2θ 15.4, intensity 287
- (0 2 2), 2θ 20.9, intensity 106
- (2 0 0), 2θ 21.1, intensity 169
- (0 4 0), 2θ 28.3, intensity 87
- (0 4 1), 2θ 29.3, intensity 138
- (3 1 1), 2θ 33.6, intensity 190
- (0 2 4), 2θ 34.3, intensity 76
- (2 4 1), 2θ 36.4, intensity 76
- (1 5 2), 2θ 40.4, intensity 120
- (4 0 0), 2θ 42.9, intensity 91

Structural model:
Lattice parameters (Å, degrees): 8.431 12.651 11.490 90.00 90.00 90.00
Space group Cmc2_1 (No. 36)
Symmetry-distinct sites (fractional):
Ta (0.000, 0.211, 0.000)
H (0.163, 0.481, 0.727)
H (0.165, 0.378, 0.253)
H (0.217, 0.065, 0.637)
C (0.174, 0.441, 0.187)
Se (0.000, 0.428, 0.075)
Cl (0.000, 0.035, 0.944)
Cl (0.000, 0.175, 0.200)
Cl (0.000, 0.280, 0.810)
Cl (0.224, 0.269, 0.502)

[3]
Diffraction record for ErMn2Ge2. The powder XRD pattern is theoretical, not measured: it uses DFT lattice parameters and positions (GGA-PBE) and CuKα.
Kinematic intensities with the Lorentz-polarization factor, no thermal factor.

Peak list (12 most intense, 10° ≤ 2θ ≤ 80°, sorted by position)
- (1 0 1), 2θ 24.2, intensity 96
- (1 1 0), 2θ 32.3, intensity 337
- (1 0 3), 2θ 33.7, intensity 963
- (1 1 2), 2θ 36.4, intensity 1000
- (2 0 0), 2θ 46.3, intensity 542
- (1 0 5), 2θ 47.9, intensity 464
- (2 1 3), 2θ 58.5, intensity 394
- (1 1 6), 2θ 61.2, intensity 141
- (2 2 0), 2θ 67.6, intensity 169
- (2 1 5), 2θ 68.9, intensity 311
- (3 0 3), 2θ 77.7, intensity 86
- (3 1 2), 2θ 79.3, intensity 195

Structural model:
Lattice parameters (Å, degrees): 3.918 3.918 10.843 90.00 90.00 90.00
Space group I4/mmm (No. 139)
Symmetry-distinct sites (fractional):
Er (0.000, 0.000, 0.000)
Mn (0.000, 0.500, 0.250)
Ge (0.000, 0.000, 0.382)